Theoretical PXRD pattern of Rb3GeF8 for Cu Kα, from a structure optimized by DFT (GGA-PBE).
Peak positions follow from Bragg's law for the DFT cell and can differ from measured ones.

Top 10 peaks for 10° ≤ 2θ ≤ 90°, by angle:
(hkl), Position (°2θ), intensity
2 0 0, 26.21, 46
1 1 2, 26.75, 100
2 2 0, 37.41, 30
0 0 4, 38.95, 16
3 1 2, 46.58, 53
2 0 4, 47.55, 22
2 2 4, 55.11, 18
3 3 2, 61.21, 13
5 1 2, 73.99, 17
4 2 4, 74.72, 12

```
data_Rb3GeF8
_chemical_formula_sum 'Rb6 Ge2 F16'
_cell_length_a 6.7989
_cell_length_b 6.7989
_cell_length_c 9.2503
_cell_angle_alpha 90.00
_cell_angle_beta 90.00
_cell_angle_gamma 90.00
_space_group_name_H-M_alt 'I -4 2 m'
_space_group_IT_number 121
_space_group_name_Hall 'I -4 2'
loop_
_atom_site_label
_atom_site_type_symbol
_atom_site_fract_x
_atom_site_fract_y
_atom_site_fract_z
Rb1 Rb 0.0000 0.0000 0.0000
Rb2 Rb 0.0000 0.5000 0.2500
Ge1 Ge 0.0000 0.0000 0.5000
F1 F 0.1158 0.1158 0.2930
F2 F 0.1865 0.1865 0.5456
```